# 1
The following is a simulated powder diffractogram of Ba2NaSr2Sb3O12. It was derived from a DFT-relaxed cell (GGA-PBE, the Materials Project), using Cu Kα (λ = 1.5418 Å).
Intensities are scaled so that the largest is 100.

abc: 8.336 8.336 8.276
angles: 90.00 90.00 89.51
Fractional positions:
Ba 0.250 0.750 0.254
Ba 0.250 0.750 0.754
Ba 0.750 0.250 0.246
Ba 0.750 0.250 0.746
Na 0.000 0.000 0.000
Na 0.500 0.500 0.500
Sr 0.247 0.253 0.250
Sr 0.253 0.247 0.750
Sr 0.747 0.753 0.250
Sr 0.753 0.747 0.750
Sb 0.000 0.000 0.500
Sb 0.000 0.500 0.000
Sb 0.000 0.500 0.500
Sb 0.500 0.000 0.000
Sb 0.500 0.000 0.500
Sb 0.500 0.500 0.000
O 0.003 0.250 0.474
O 0.006 0.272 0.025
O 0.017 0.983 0.271
O 0.031 0.469 0.750
O 0.228 0.494 0.475
O 0.250 0.003 0.526
O 0.250 0.497 0.026
O 0.272 0.006 0.975
O 0.469 0.031 0.250
O 0.483 0.517 0.771
O 0.494 0.228 0.525
O 0.497 0.250 0.974
O 0.503 0.750 0.026
O 0.506 0.772 0.475
O 0.517 0.483 0.229
O 0.531 0.969 0.750
O 0.728 0.994 0.025
O 0.750 0.503 0.974
O 0.750 0.997 0.474
O 0.772 0.506 0.525
O 0.969 0.531 0.250
O 0.983 0.017 0.729
O 0.994 0.728 0.975
O 0.997 0.750 0.526

The 10 most intense peaks (10 to 90 degrees two-theta), in order of falling intensity:
2θ (°), Rel. int.
30.4, 100
43.4, 26
54.1, 25
30.2, 21
63.4, 18
53.8, 16
15.1, 15
88.0, 13
43.8, 12
54.2, 8

***

# 2
The following is a simulated powder diffractogram of LiMg14TiO16. It was derived from a DFT-relaxed cell (GGA-PBE, the Materials Project), using Cu Kα (λ = 1.5418 Å).
Intensities are scaled so that the largest is 100.

abc: 4.239 8.520 8.537
angles: 90.00 90.00 90.00
Fractional positions:
Li 0.000 0.000 0.000
Mg 0.000 0.250 0.243
Mg 0.000 0.250 0.757
Mg 0.000 0.500 0.000
Mg 0.000 0.500 0.500
Mg 0.000 0.750 0.243
Mg 0.000 0.750 0.757
Mg 0.500 0.000 0.239
Mg 0.500 0.000 0.761
Mg 0.500 0.244 0.000
Mg 0.500 0.253 0.500
Mg 0.500 0.500 0.248
Mg 0.500 0.500 0.752
Mg 0.500 0.747 0.500
Mg 0.500 0.756 0.000
Ti 0.000 0.000 0.500
O 0.000 0.000 0.263
O 0.000 0.000 0.737
O 0.000 0.247 0.500
O 0.000 0.256 0.000
O 0.000 0.500 0.253
O 0.000 0.500 0.747
O 0.000 0.744 0.000
O 0.000 0.753 0.500
O 0.500 0.000 0.000
O 0.500 0.000 0.500
O 0.500 0.249 0.252
O 0.500 0.249 0.748
O 0.500 0.500 0.000
O 0.500 0.500 0.500
O 0.500 0.751 0.252
O 0.500 0.751 0.748

The 10 most intense peaks (10 to 90 degrees two-theta), in order of falling intensity:
2θ (°), Rel. int.
42.4, 100
61.7, 55
42.7, 50
61.5, 28
77.7, 25
36.6, 15
14.7, 6
10.4, 6
25.7, 5
73.8, 4

***

# 3
The following is a simulated powder diffractogram of TaMoS4. It was derived from a DFT-relaxed cell (GGA-PBE, the Materials Project), using Cu Kα (λ = 1.5418 Å).
Intensities are scaled so that the largest is 100.

abc: 12.807 3.283 5.691
angles: 90.00 98.53 90.00
Fractional positions:
Ta 0.000 0.000 0.000
Ta 0.500 0.500 0.000
Mo 0.000 0.500 0.504
Mo 0.500 0.000 0.504
S 0.121 0.000 0.381
S 0.123 0.500 0.874
S 0.376 0.000 0.792
S 0.378 0.500 0.300
S 0.621 0.500 0.381
S 0.623 0.000 0.874
S 0.876 0.500 0.792
S 0.878 0.000 0.300

The 10 most intense peaks (10 to 90 degrees two-theta), in order of falling intensity:
2θ (°), Rel. int.
14.0, 100
36.8, 35
39.6, 35
31.8, 31
32.9, 30
46.2, 23
56.0, 17
50.0, 16
58.0, 15
85.1, 8

***

# 4
The following is a simulated powder diffractogram of LaTlP2S6. It was derived from a DFT-relaxed cell (GGA-PBE, the Materials Project), using Cu Kα (λ = 1.5418 Å).
Intensities are scaled so that the largest is 100.

abc: 12.164 7.580 11.529
angles: 90.00 109.47 90.00
Fractional positions:
La 0.148 0.106 0.402
La 0.148 0.394 0.902
La 0.852 0.606 0.098
La 0.852 0.894 0.598
Tl 0.374 0.590 0.626
Tl 0.374 0.910 0.126
Tl 0.626 0.090 0.874
Tl 0.626 0.410 0.374
P 0.173 0.600 0.245
P 0.173 0.900 0.745
P 0.289 0.122 0.729
P 0.289 0.378 0.229
P 0.711 0.622 0.771
P 0.711 0.878 0.271
P 0.827 0.100 0.255
P 0.827 0.400 0.755
S 0.056 0.016 0.815
S 0.056 0.484 0.315
S 0.091 0.687 0.069
S 0.091 0.813 0.569
S 0.172 0.192 0.135
S 0.172 0.308 0.635
S 0.278 0.714 0.855
S 0.278 0.786 0.355
S 0.369 0.210 0.903
S 0.369 0.290 0.403
S 0.383 0.027 0.629
S 0.383 0.473 0.129
S 0.617 0.527 0.871
S 0.617 0.973 0.371
S 0.631 0.710 0.597
S 0.631 0.790 0.097
S 0.722 0.214 0.645
S 0.722 0.286 0.145
S 0.828 0.692 0.365
S 0.828 0.808 0.865
S 0.909 0.187 0.431
S 0.909 0.313 0.931
S 0.944 0.516 0.685
S 0.944 0.984 0.185

The 10 most intense peaks (10 to 90 degrees two-theta), in order of falling intensity:
2θ (°), Rel. int.
25.2, 100
26.0, 94
17.5, 74
18.4, 59
32.3, 53
24.9, 50
36.2, 48
20.1, 47
30.0, 45
31.2, 45

***

# 5
The following is a simulated powder diffractogram of LuAs. It was derived from a DFT-relaxed cell (GGA-PBE, the Materials Project), using Cu Kα (λ = 1.5418 Å).
Intensities are scaled so that the largest is 100.

abc: 3.509 3.509 3.509
angles: 90.00 90.00 90.00
Fractional positions:
Lu 0.000 0.000 0.000
As 0.500 0.500 0.500

The 9 most intense peaks (10 to 90 degrees two-theta), in order of falling intensity:
2θ (°), Rel. int.
36.2, 100
65.1, 36
25.4, 18
52.1, 18
88.0, 16
76.8, 11
58.8, 7
44.7, 5
82.4, 4

***

# 6
The following is a simulated powder diffractogram of Co2IrN10Cl10. It was derived from a DFT-relaxed cell (GGA-PBE, the Materials Project), using Cu Kα (λ = 1.5418 Å).
Intensities are scaled so that the largest is 100.

abc: 7.423 7.423 11.434
angles: 105.58 105.58 66.39
Fractional positions:
Co 0.123 0.123 0.348
Co 0.877 0.877 0.652
Ir 0.500 0.500 0.000
N 0.003 0.290 0.472
N 0.005 0.005 0.744
N 0.168 0.306 0.225
N 0.290 0.003 0.472
N 0.306 0.168 0.225
N 0.694 0.832 0.775
N 0.710 0.997 0.528
N 0.832 0.694 0.775
N 0.995 0.995 0.256
N 0.997 0.710 0.528
Cl 0.162 0.162 0.589
Cl 0.213 0.787 0.000
Cl 0.309 0.309 0.974
Cl 0.420 0.420 0.499
Cl 0.457 0.457 0.787
Cl 0.543 0.543 0.213
Cl 0.580 0.580 0.501
Cl 0.691 0.691 0.026
Cl 0.787 0.213 0.000
Cl 0.838 0.838 0.411

The 10 most intense peaks (10 to 90 degrees two-theta), in order of falling intensity:
2θ (°), Rel. int.
16.8, 100
21.9, 96
14.6, 79
19.1, 53
14.2, 50
16.4, 48
25.2, 42
28.8, 39
13.2, 35
15.1, 34

***

# 7
The following is a simulated powder diffractogram of MgSi. It was derived from a DFT-relaxed cell (GGA-PBE, the Materials Project), using Cu Kα (λ = 1.5418 Å).
Intensities are scaled so that the largest is 100.

abc: 5.247 6.057 14.347
angles: 88.65 89.81 78.12
Fractional positions:
Mg 0.035 0.419 0.281
Mg 0.100 0.909 0.255
Mg 0.231 0.209 0.080
Mg 0.289 0.701 0.052
Mg 0.389 0.182 0.614
Mg 0.433 0.674 0.588
Mg 0.567 0.326 0.412
Mg 0.611 0.818 0.386
Mg 0.711 0.299 0.948
Mg 0.769 0.791 0.920
Mg 0.900 0.091 0.745
Mg 0.965 0.581 0.719
Si 0.127 0.133 0.437
Si 0.133 0.707 0.432
Si 0.194 0.430 0.898
Si 0.213 0.016 0.902
Si 0.459 0.883 0.765
Si 0.482 0.472 0.770
Si 0.518 0.528 0.230
Si 0.541 0.117 0.235
Si 0.787 0.984 0.098
Si 0.806 0.570 0.102
Si 0.867 0.293 0.568
Si 0.873 0.867 0.563

The 10 most intense peaks (10 to 90 degrees two-theta), in order of falling intensity:
2θ (°), Rel. int.
37.2, 100
37.6, 84
43.0, 69
34.3, 61
45.5, 60
35.5, 56
32.4, 55
35.9, 55
43.4, 52
47.8, 39